Record 1
Structure and theoretical powder diffraction line list of ErAl2S4 (DFT lattice parameters and positions (GGA-PBE); Cu Kα, 1.54184 Å).

The 12 most intense peaks (2θ from 10° to 90°), low angle first:
15.2°, d = 5.845 Å, I = 100
19.6°, d = 4.526 Å, I = 68
24.0°, d = 3.709 Å, I = 94
25.7°, d = 3.461 Å, I = 49
27.5°, d = 3.238 Å, I = 61
31.9°, d = 2.807 Å, I = 34
35.9°, d = 2.503 Å, I = 19
38.4°, d = 2.343 Å, I = 24
39.8°, d = 2.263 Å, I = 29
40.2°, d = 2.245 Å, I = 54
41.3°, d = 2.186 Å, I = 23
46.6°, d = 1.948 Å, I = 52

a = 12.1490 Å, b = 13.5719 Å, c = 7.6555 Å
α = 90.00°, β = 90.00°, γ = 90.00°
Space group Fdd2 (No. 43)
Symmetry-distinct sites (fractional):
Er 0.0000 0.0000 0.0000 x8
Al 0.0628 0.1642 0.5152 x16
S 0.1226 0.3408 0.0107 x16
S 0.1236 0.3286 0.5180 x16

---

Record 2
Structure and theoretical powder diffraction line list of CaLa12Co6 (DFT lattice parameters and positions (GGA-PBE); Cu Kα, 1.54184 Å).

The 12 most intense peaks (2θ from 10° to 90°), low angle first:
12.2°, d = 7.279 Å, I = 23
27.4°, d = 3.255 Å, I = 51
30.1°, d = 2.972 Å, I = 36
32.5°, d = 2.751 Å, I = 100
41.1°, d = 2.195 Å, I = 15
44.9°, d = 2.019 Å, I = 30
51.8°, d = 1.765 Å, I = 32
53.4°, d = 1.716 Å, I = 16
55.0°, d = 1.670 Å, I = 35
64.0°, d = 1.456 Å, I = 16
78.9°, d = 1.213 Å, I = 15
80.2°, d = 1.197 Å, I = 18

a = 10.2936 Å, b = 10.2936 Å, c = 10.2936 Å
α = 90.00°, β = 90.00°, γ = 90.00°
Space group Im-3 (No. 204)
Symmetry-distinct sites (fractional):
Ca 0.0000 0.0000 0.0000 x2
La 0.0000 0.1957 0.3184 x24
Co 0.0000 0.3833 0.5000 x12

---

Record 3
Structure and theoretical powder diffraction line list of NiAgPt2 (DFT lattice parameters and positions (GGA-PBE); Cu Kα, 1.54184 Å).

The 12 most intense peaks (2θ from 10° to 90°), low angle first:
22.6°, d = 3.926 Å, I = 12
32.3°, d = 2.771 Å, I = 13
34.3°, d = 2.615 Å, I = 15
39.8°, d = 2.264 Å, I = 100
46.3°, d = 1.960 Å, I = 48
52.2°, d = 1.753 Å, I = 6
58.9°, d = 1.569 Å, I = 8
67.6°, d = 1.386 Å, I = 27
68.7°, d = 1.366 Å, I = 9
78.0°, d = 1.225 Å, I = 8
81.4°, d = 1.182 Å, I = 25
85.8°, d = 1.132 Å, I = 8

a = 2.7713 Å, b = 2.7713 Å, c = 7.8518 Å
α = 90.00°, β = 90.00°, γ = 90.00°
Space group P4/mmm (No. 123)
Symmetry-distinct sites (fractional):
Ni 0.0000 0.0000 0.0000 x1
Ag 0.0000 0.0000 0.5000 x1
Pt 0.5000 0.5000 0.2215 x2